Diffraction record for AcMg2NpO8. The X-ray powder pattern is computed, not measured: it uses DFT lattice parameters and positions (GGA-PBE) and copper Kα.
Kinematic intensities with the Lorentz-polarization factor, no thermal factor.

Top 12 peaks for 10° ≤ 2θ ≤ 80°, by angle:
2θ (°)	I/Imax
18.8	100
24.2	32
26.6	45
26.7	40
30.8	80
36.3	50
38.0	22
42.7	18
45.6	26
49.6	39
49.8	29
57.2	19

Atomic structure:
abc: 4.729 7.353 4.732
angles: 90.00 90.25 90.00
Fractional coordinates of all 12 atoms:
Ac (0.000, 0.000, 0.000)
Mg (0.500, 0.287, 0.500)
Mg (0.500, 0.713, 0.500)
Np (0.000, 0.500, 0.000)
O (0.194, 0.284, 0.197)
O (0.194, 0.716, 0.197)
O (0.296, 0.500, 0.707)
O (0.390, 0.000, 0.615)
O (0.610, 0.000, 0.385)
O (0.704, 0.500, 0.293)
O (0.806, 0.284, 0.803)
O (0.806, 0.716, 0.803)